The following is a theoretical PXRD pattern of TmFeO3. It was derived from a crystal structure in the Materials Project, relaxed with PBE+U, using Cu Kα (weighted mean of Kα1 and Kα2).
Kinematic intensities with the Lorentz-polarization factor, no thermal factor.

Main lines, by angle (2θ = 15–90°):
- 15.08°, rel. 40
- 29.42°, rel. 47
- 30.42°, rel. 50
- 33.21°, rel. 100
- 42.83°, rel. 34
- 52.18°, rel. 35
- 55.86°, rel. 24
- 61.61°, rel. 26
- 63.27°, rel. 20
- 86.39°, rel. 20

a b c (Å): 6.0729 6.0729 11.7505
angles (deg): 90.00 90.00 120.00
Space group P6_3cm (No. 185)
One atom of each set of equivalent atoms:
Tm (0.0000, 0.0000, 0.0000)
Tm (0.3333, 0.6667, 0.4566)
Fe (0.0000, 0.3339, 0.2248)
O (0.0000, 0.0000, 0.1994)
O (0.0000, 0.3052, 0.3911)
O (0.0000, 0.3613, 0.0605)
O (0.3333, 0.6667, 0.2473)

The following is a theoretical PXRD pattern of MgCo2S2O10. It was derived from a crystal structure in the Materials Project, relaxed with PBE+U, using Cu Kα (weighted mean of Kα1 and Kα2).
Kinematic intensities with the Lorentz-polarization factor, no thermal factor.

Main lines, by angle (2θ = 15–90°):
- 17.80°, rel. 47
- 22.09°, rel. 33
- 26.32°, rel. 19
- 26.56°, rel. 17
- 27.06°, rel. 100
- 28.21°, rel. 71
- 28.49°, rel. 54
- 35.53°, rel. 45
- 43.20°, rel. 28
- 54.13°, rel. 24

a b c (Å): 5.3110 5.5697 6.8480
angles (deg): 107.00 106.80 95.52
Space group P1 (No. 1)
One atom of each set of equivalent atoms:
Mg (0.0000, 0.0000, 0.0000)
Co (0.7512, 0.3716, 0.7778)
Co (0.7822, 0.4215, 0.2978)
S (0.1115, 0.0066, 0.5415)
S (0.4378, 0.7698, 0.0440)
O (0.0156, 0.1085, 0.3587)
O (0.0995, 0.7280, 0.4520)
O (0.1543, 0.6610, 0.8952)
O (0.3854, 0.1355, 0.6836)
O (0.4319, 0.0484, 0.1360)
O (0.5080, 0.6456, 0.2089)
O (0.6350, 0.7408, 0.9223)
O (0.6950, 0.4420, 0.5360)
O (0.8570, 0.3206, 0.0451)
O (0.9327, 0.0504, 0.6816)

The following is a theoretical PXRD pattern of MgScTlMo2O8. It was derived from a crystal structure in the Materials Project, relaxed with PBE+U, using Cu Kα (weighted mean of Kα1 and Kα2).
Kinematic intensities with the Lorentz-polarization factor, no thermal factor.

Main lines, by angle (2θ = 15–90°):
- 17.54°, rel. 16
- 21.53°, rel. 43
- 30.63°, rel. 100
- 33.15°, rel. 25
- 41.93°, rel. 14
- 43.87°, rel. 26
- 54.46°, rel. 36
- 63.78°, rel. 16
- 72.41°, rel. 14
- 88.67°, rel. 15

a b c (Å): 5.8375 5.8375 7.1463
angles (deg): 90.00 90.00 120.00
Space group P3m1 (No. 156)
One atom of each set of equivalent atoms:
Mg (0.0000, 0.0000, 0.0000)
Sc (0.6667, 0.3333, 0.8343)
Tl (0.6667, 0.3333, 0.3018)
Mo (0.0000, 0.0000, 0.5354)
Mo (0.3333, 0.6667, 0.1310)
O (0.0000, 0.0000, 0.2743)
O (0.3182, 0.1591, 0.6425)
O (0.3333, 0.6667, 0.3820)
O (0.5042, 0.0085, 0.9937)